This entry pairs a crystal structure of Tl2CoPdO4 with its computed XRD peak list. Radiation: λ = 1.5418 Å (Cu Kα). Structure: a PBE+U-relaxed structure.

Crystal structure
a = 10.7773 Å, b = 9.3407 Å, c = 6.7843 Å
α = 82.23°, β = 59.18°, γ = 38.59°
Fractional coordinates of all 16 atoms:
1 Tl 0.0408 0.0408 0.7092
2 Tl 0.2908 0.2908 0.9592
3 Tl 0.7092 0.7092 0.0408
4 Tl 0.9592 0.9592 0.2908
5 Co 0.3750 0.3750 0.3750
6 Co 0.6250 0.6250 0.6250
7 Pd 0.1250 0.1250 0.1250
8 Pd 0.8750 0.8750 0.8750
9 O 0.0416 0.7037 0.5018
10 O 0.2529 0.5018 0.7037
11 O 0.2963 0.9584 0.7471
12 O 0.4982 0.7471 0.9584
13 O 0.5018 0.2529 0.0416
14 O 0.7037 0.0416 0.2529
15 O 0.7471 0.4982 0.2963
16 O 0.9584 0.2963 0.4982

Top 10 peaks for 2θ from 5° to 70°, by angle:
| 2theta | Rel. int. |
| --- | --- |
| 17.5 | 80 |
| 22.6 | 100 |
| 27.1 | 32 |
| 29.2 | 54 |
| 30.7 | 45 |
| 33.7 | 99 |
| 34.0 | 86 |
| 43.5 | 37 |
| 53.2 | 59 |
| 54.9 | 27 |